Starting from a cell relaxed with GGA+U, the powder diffraction line list of ZrNiO3 was computed for Cu Kα (weighted mean of Kα1 and Kα2).
Kinematic intensities with the Lorentz-polarization factor, no thermal factor.

Atomic structure:
```
ZrNiO3
1.0
2.6518 1.5310 4.8133
-2.6518 1.5310 4.8133
0.0000 -3.0620 4.8133
Zr Ni O
2 2 6
direct
0.0000 0.0000 0.0000 Zr
0.5000 0.5000 0.5000 Zr
0.2932 0.2932 0.2932 Ni
0.7932 0.7932 0.7932 Ni
0.0897 0.3960 0.6963 O
0.1963 0.8960 0.5897 O
0.3960 0.6963 0.0897 O
0.5897 0.1963 0.8960 O
0.6963 0.0897 0.3960 O
0.8960 0.5897 0.1963 O
```

The 10 most intense peaks (10 to 90 degrees two-theta), in order of falling intensity:
two_theta	I (rel.)
31.5	100.0
33.8	87.2
51.3	53.6
22.9	40.8
46.9	39.4
59.0	35.8
60.5	32.0
68.1	14.7
88.0	13.2
79.8	11.8